This entry pairs a crystal structure of Sn3As2Pt2 with its computed powder diffraction line list. Radiation: a wavelength of 1.5418 Å. Structure: a crystal structure in OQMD, relaxed with GGA-PBE.

Structural model:
```
data_Sn3As2Pt2
_space_group_name_H-M_alt 'R 3 m'
_space_group_IT_number 160
_space_group_name_Hall 'R 3 -2"'
_cell_length_a 4.3472
_cell_length_b 4.3472
_cell_length_c 28.2793
_cell_angle_alpha 90.00
_cell_angle_beta 90.00
_cell_angle_gamma 120.00
loop_
_atom_site_label
_atom_site_type_symbol
_atom_site_fract_x
_atom_site_fract_y
_atom_site_fract_z
Sn1 Sn 0.0000 0.0000 0.0000
Sn2 Sn 0.0000 0.0000 0.2552
Sn3 Sn 0.0000 0.0000 0.7310
As1 As 0.0000 0.0000 0.4559
As2 As 0.0000 0.0000 0.8519
Pt1 Pt 0.0000 0.0000 0.1582
Pt2 Pt 0.0000 0.0000 0.6290
```

Top 10 peaks for 10 to 90 degrees two-theta, in order of falling intensity:
- (1 1 0), 41.55°, I 100
- (0 1 2), 24.47°, I 48
- (0 1 8), 34.81°, I 43
- (1 0 7), 32.51°, I 41
- (0 1 11), 42.58°, I 35
- (0 0 9), 28.46°, I 26
- (1 0 10), 39.87°, I 24
- (0 0 6), 18.83°, I 24
- (1 0 4), 26.83°, I 20
- (1 0 13), 48.32°, I 20



This entry pairs a crystal structure of Hf3Ag4Pb4 with its computed powder diffraction line list. Radiation: a wavelength of 1.5418 Å. Structure: a crystal structure in OQMD, relaxed with GGA-PBE.

Structural model:
```
data_Hf3Ag4Pb4
_space_group_name_H-M_alt 'P 1 m 1'
_space_group_IT_number 6
_cell_length_a 6.900
_cell_length_b 4.579
_cell_length_c 8.074
_cell_angle_alpha 90.00
_cell_angle_beta 90.88
_cell_angle_gamma 90.00
loop_
_space_group_symop_operation_xyz
'x,y,z'
'x,-y,z'
loop_
_atom_site_label
_atom_site_type_symbol
_atom_site_fract_x
_atom_site_fract_y
_atom_site_fract_z
Hf1 Hf 0.000 0.000 0.000
Hf2 Hf 0.023 0.500 0.431
Hf3 Hf 0.531 0.000 0.980
Ag1 Ag 0.112 0.500 0.785
Ag2 Ag 0.263 0.000 0.311
Ag3 Ag 0.782 0.500 0.122
Ag4 Ag 0.888 0.000 0.650
Pb1 Pb 0.284 0.500 0.110
Pb2 Pb 0.317 0.000 0.649
Pb3 Pb 0.678 0.500 0.762
Pb4 Pb 0.713 0.000 0.329
```

Top 10 peaks for 10 to 90 degrees two-theta, in order of falling intensity:
- (2 1 -1), 34.26°, I 100
- (0 1 3), 38.81°, I 72
- (0 2 0), 39.35°, I 46
- (2 0 2), 34.46°, I 41
- (1 1 1), 25.91°, I 25
- (2 1 2), 39.84°, I 24
- (2 2 2), 53.29°, I 22
- (2 3 -1), 68.09°, I 16
- (2 2 -4), 67.24°, I 13
- (0 0 3), 33.29°, I 13



This entry pairs a crystal structure of LaGaCu2Si with its computed powder diffraction line list. Radiation: a wavelength of 1.5418 Å. Structure: a crystal structure in OQMD, relaxed with GGA-PBE.

Structural model:
```
data_LaGaCu2Si
_space_group_name_H-M_alt 'I 4 m m'
_space_group_IT_number 107
_space_group_name_Hall 'I 4 -2'
_cell_length_a 4.240
_cell_length_b 4.240
_cell_length_c 9.991
_cell_angle_alpha 90.00
_cell_angle_beta 90.00
_cell_angle_gamma 90.00
loop_
_atom_site_label
_atom_site_type_symbol
_atom_site_fract_x
_atom_site_fract_y
_atom_site_fract_z
La1 La 0.000 0.000 0.000
Ga1 Ga 0.000 0.000 0.625
Cu1 Cu 0.000 0.500 0.257
Si1 Si 0.000 0.000 0.373
```

Top 10 peaks for 10 to 90 degrees two-theta, in order of falling intensity:
- (1 1 2), 34.90°, I 100
- (1 0 3), 34.24°, I 60
- (2 0 0), 42.65°, I 51
- (2 1 3), 55.79°, I 29
- (3 1 2), 73.07°, I 21
- (1 0 5), 50.49°, I 19
- (1 0 1), 22.78°, I 19
- (2 2 0), 61.89°, I 16
- (2 1 5), 68.18°, I 16
- (1 1 6), 63.95°, I 15



This entry pairs a crystal structure of CdAgTeO with its computed powder diffraction line list. Radiation: a wavelength of 1.5418 Å. Structure: a crystal structure in OQMD, relaxed with GGA-PBE.

Structural model:
```
data_CdAgTeO
_space_group_name_H-M_alt 'C m c m'
_space_group_IT_number 63
_space_group_name_Hall '-C 2c 2'
_cell_length_a 3.349
_cell_length_b 15.356
_cell_length_c 5.983
_cell_angle_alpha 90.00
_cell_angle_beta 90.00
_cell_angle_gamma 90.00
loop_
_atom_site_label
_atom_site_type_symbol
_atom_site_fract_x
_atom_site_fract_y
_atom_site_fract_z
Cd1 Cd 0.000 0.046 0.250
Ag1 Ag 0.000 0.371 0.250
Te1 Te 0.000 0.280 0.750
O1 O 0.000 0.500 0.000
```

Top 10 peaks for 10 to 90 degrees two-theta, in order of falling intensity:
- (1 3 1), 35.37°, I 100
- (0 6 1), 38.25°, I 64
- (0 0 2), 29.87°, I 62
- (1 3 2), 44.29°, I 43
- (1 3 0), 31.93°, I 40
- (1 3 3), 56.64°, I 25
- (2 6 1), 68.80°, I 23
- (0 6 3), 58.69°, I 18
- (2 0 2), 63.68°, I 14
- (1 9 2), 69.33°, I 14